Structure and computed X-ray diffraction stick pattern of ZnWF4 (a structure optimized by DFT (GGA+U); CuKα).
Peak positions follow from Bragg's law for the DFT cell and can differ from measured ones.

The 12 most intense peaks (2θ from 5° to 70°), in order of rising 2θ:
two_theta	d (Å)	I/Imax	hkl
16.19	5.474	14.1	2 0 0
21.31	4.169	21.9	1 1 -1
26.88	3.317	100.0	1 1 1
30.32	2.948	24.2	0 2 0
32.72	2.737	7.1	4 0 0
34.56	2.596	10.2	4 0 -2
43.41	2.084	16.9	2 2 -2
45.21	2.006	34.0	2 0 2
51.78	1.766	25.1	3 3 -1
51.88	1.762	8.4	5 1 -3
54.93	1.672	14.1	7 1 -1
55.40	1.658	11.1	6 2 -2

Cell and atoms:
```
data_ZnWF4
_symmetry_space_group_name_H-M 'C 1 2 1'
_symmetry_Int_Tables_number 5
_cell_length_a 12.4238
_cell_length_b 5.9036
_cell_length_c 5.8881
_cell_angle_alpha 90.00
_cell_angle_beta 118.20
_cell_angle_gamma 90.00
loop_
_symmetry_equiv_pos_as_xyz
'x,y,z'
'-x,y,-z'
'x+1/2,y+1/2,z'
'-x+1/2,y+1/2,-z'
loop_
_atom_site_label
_atom_site_fract_x
_atom_site_fract_y
_atom_site_fract_z
_atom_site_occupancy
Zn1 0.0000 0.0000 0.0000 1
Zn2 0.0000 0.4994 0.5000 1
W1 0.2502 0.0037 0.7501 1
F1 0.1194 0.3275 0.9492 1
F2 0.1209 0.1773 0.4444 1
F3 0.1221 0.6807 0.2982 1
F4 0.1229 0.8311 0.8021 1
```